Diffraction record for La4PuTe5. The powder diffractogram is theoretical, not measured: it uses a cell relaxed with PBE and copper Kα.

Lattice parameters (Å, degrees): 16.438 16.438 16.438 164.06 164.06 22.61
Element x y z (fractional)
La 0.100 0.100 0.000
La 0.301 0.301 0.000
La 0.699 0.699 0.000
La 0.900 0.900 0.000
Pu 0.500 0.500 0.000
Te 0.000 0.000 0.000
Te 0.201 0.201 0.000
Te 0.402 0.402 0.000
Te 0.598 0.598 0.000
Te 0.799 0.799 0.000

Top 8 peaks for 10° ≤ 2θ ≤ 90°, by angle:
Position (°2θ), I/Imax
23.91, 2
27.68, 100
39.55, 77
48.95, 28
57.16, 13
64.67, 36
71.74, 26
85.16, 8